This entry pairs a crystal structure of UCd20Pd2 with its computed PXRD pattern. Radiation: Cu Kα, 1.54184 Å. Structure: a GGA-PBE-relaxed structure.
Intensities are scaled so that the largest is 100.

Largest 12 diffraction maxima, by angle, 2θ = 15–90°:
d/Å, I_rel
2.658, 100
2.487, 48
2.398, 79
2.371, 76
2.270, 19
2.202, 21
1.853, 25
1.581, 20
1.513, 20
1.390, 49
1.374, 19
1.334, 21

Atomic structure:
abc: 11.1200 11.1200 11.1200
angles: 60.00 60.00 60.00
Sites, in units of the cell vectors:
1 U 0.1250 0.1250 0.1250
2 U 0.8750 0.8750 0.8750
3 Cd 0.0000 0.0000 0.0000
4 Cd 0.0000 0.0000 0.5000
5 Cd 0.0000 0.5000 0.0000
6 Cd 0.0566 0.3218 0.3218
7 Cd 0.0566 0.3218 0.7997
8 Cd 0.0566 0.7997 0.3218
9 Cd 0.2003 0.6782 0.6782
10 Cd 0.2003 0.6782 0.9434
11 Cd 0.2003 0.9434 0.6782
12 Cd 0.2372 0.2372 0.5128
13 Cd 0.2372 0.5128 0.2372
14 Cd 0.2372 0.5128 0.5128
15 Cd 0.3218 0.0566 0.3218
16 Cd 0.3218 0.0566 0.7997
17 Cd 0.3218 0.3218 0.0566
18 Cd 0.3218 0.3218 0.7997
19 Cd 0.3218 0.7997 0.0566
20 Cd 0.3218 0.7997 0.3218
21 Cd 0.4872 0.4872 0.7628
22 Cd 0.4872 0.7628 0.4872
23 Cd 0.4872 0.7628 0.7628
24 Cd 0.5000 0.0000 0.0000
25 Cd 0.5128 0.2372 0.2372
26 Cd 0.5128 0.2372 0.5128
27 Cd 0.5128 0.5128 0.2372
28 Cd 0.6782 0.2003 0.6782
29 Cd 0.6782 0.2003 0.9434
30 Cd 0.6782 0.6782 0.2003
31 Cd 0.6782 0.6782 0.9434
32 Cd 0.6782 0.9434 0.2003
33 Cd 0.6782 0.9434 0.6782
34 Cd 0.7628 0.4872 0.4872
35 Cd 0.7628 0.4872 0.7628
36 Cd 0.7628 0.7628 0.4872
37 Cd 0.7997 0.0566 0.3218
38 Cd 0.7997 0.3218 0.0566
39 Cd 0.7997 0.3218 0.3218
40 Cd 0.9434 0.2003 0.6782
41 Cd 0.9434 0.6782 0.2003
42 Cd 0.9434 0.6782 0.6782
43 Pd 0.0000 0.5000 0.5000
44 Pd 0.5000 0.0000 0.5000
45 Pd 0.5000 0.5000 0.0000
46 Pd 0.5000 0.5000 0.5000

This entry pairs a crystal structure of Nb2Sn3W4C3 with its computed PXRD pattern. Radiation: Cu Kα, 1.54184 Å. Structure: a GGA-PBE-relaxed structure.
Intensities are scaled so that the largest is 100.

Largest 12 diffraction maxima, by angle, 2θ = 15–90°:
d/Å, I_rel
2.798, 35
2.383, 100
2.375, 50
2.264, 27
1.616, 31
1.339, 8
1.337, 8
1.335, 8
1.332, 8
1.329, 8
1.317, 10
1.313, 10

Atomic structure:
abc: 5.5972 5.5972 13.9457
angles: 101.27 101.27 59.99
Sites, in units of the cell vectors:
1 Nb 0.0296 0.8651 0.5883
2 Nb 0.1349 0.9704 0.9117
3 Nb 0.8651 0.0296 0.0883
4 Nb 0.9704 0.1349 0.4117
5 Sn 0.0842 0.2666 0.7500
6 Sn 0.2666 0.0842 0.2500
7 Sn 0.4345 0.5655 0.7500
8 Sn 0.5655 0.4345 0.2500
9 Sn 0.7334 0.9158 0.7500
10 Sn 0.9158 0.7334 0.2500
11 W 0.1916 0.3533 0.0784
12 W 0.3033 0.4810 0.4213
13 W 0.3533 0.1916 0.5784
14 W 0.4810 0.3033 0.9213
15 W 0.5190 0.6967 0.0787
16 W 0.6467 0.8084 0.4216
17 W 0.6967 0.5190 0.5787
18 W 0.8084 0.6467 0.9216
19 C 0.0000 0.5000 0.5000
20 C 0.1695 0.6607 0.0000
21 C 0.3393 0.8305 0.5000
22 C 0.5000 0.0000 0.0000
23 C 0.6607 0.1695 0.5000
24 C 0.8305 0.3393 0.0000

This entry pairs a crystal structure of Fe2SnCl6 with its computed PXRD pattern. Radiation: Cu Kα, 1.54184 Å. Structure: a GGA-PBE-relaxed structure.
Intensities are scaled so that the largest is 100.

Largest 12 diffraction maxima, by angle, 2θ = 15–90°:
d/Å, I_rel
5.208, 100
5.072, 73
4.272, 22
3.313, 29
2.952, 19
2.717, 21
2.696, 19
2.672, 20
2.634, 29
2.603, 40
2.398, 19
1.695, 19

Atomic structure:
abc: 5.9660 6.1031 7.4707
angles: 96.34 98.19 119.22
Sites, in units of the cell vectors:
1 Fe 0.0000 0.0000 0.0000
2 Fe 0.1962 0.7471 0.8863
3 Sn 0.2208 0.7876 0.4312
4 Cl 0.0798 0.4361 0.0743
5 Cl 0.2195 0.0959 0.7322
6 Cl 0.4273 0.1003 0.1546
7 Cl 0.5862 0.7831 0.8013
8 Cl 0.8356 0.8332 0.2590
9 Cl 0.9014 0.4501 0.6130

This entry pairs a crystal structure of GdAg2 with its computed PXRD pattern. Radiation: Cu Kα, 1.54184 Å. Structure: a GGA-PBE-relaxed structure.
Intensities are scaled so that the largest is 100.

Largest 12 diffraction maxima, by angle, 2θ = 15–90°:
d/Å, I_rel
3.481, 4
2.657, 69
2.382, 100
1.879, 24
1.742, 1
1.539, 6
1.475, 43
1.332, 15
1.329, 7
1.191, 10
1.188, 10
1.160, 10

Atomic structure:
abc: 3.7579 3.7579 9.2363
angles: 90.00 90.00 90.00
Sites, in units of the cell vectors:
1 Gd 0.2500 0.2500 0.2502
2 Gd 0.7500 0.7500 0.7498
3 Ag 0.2500 0.2500 0.5794
4 Ag 0.2500 0.2500 0.9195
5 Ag 0.7500 0.7500 0.0805
6 Ag 0.7500 0.7500 0.4206

This entry pairs a crystal structure of Er2GaC2 with its computed PXRD pattern. Radiation: Cu Kα, 1.54184 Å. Structure: a GGA-PBE-relaxed structure.
Intensities are scaled so that the largest is 100.

Largest 12 diffraction maxima, by angle, 2θ = 15–90°:
d/Å, I_rel
4.183, 56
3.012, 100
2.876, 17
2.684, 32
2.471, 75
2.259, 78
1.768, 44
1.628, 24
1.589, 31
1.392, 17
1.350, 23
1.094, 18

Atomic structure:
abc: 3.5360 3.5360 16.7302
angles: 90.00 90.00 120.00
Sites, in units of the cell vectors:
1 Er 0.3333 0.6667 0.1363
2 Er 0.3333 0.6667 0.3637
3 Er 0.6667 0.3333 0.6363
4 Er 0.6667 0.3333 0.8637
5 Ga 0.0000 0.0000 0.0000
6 Ga 0.0000 0.0000 0.5000
7 C 0.3333 0.6667 0.5749
8 C 0.3333 0.6667 0.9251
9 C 0.6667 0.3333 0.0749
10 C 0.6667 0.3333 0.4251

This entry pairs a crystal structure of BeCoCu4B2 with its computed PXRD pattern. Radiation: Cu Kα, 1.54184 Å. Structure: a GGA-PBE-relaxed structure.
Intensities are scaled so that the largest is 100.

Largest 12 diffraction maxima, by angle, 2θ = 15–90°:
d/Å, I_rel
3.236, 29
3.035, 8
2.430, 31
2.275, 12
2.157, 8
1.943, 100
1.718, 35
1.618, 11
1.517, 12
1.215, 10
1.178, 14
1.142, 7

Atomic structure:
abc: 3.4363 3.4363 6.4710
angles: 90.00 90.00 90.00
Sites, in units of the cell vectors:
1 Be 0.0000 0.0000 0.0000
2 Co 0.5000 0.5000 0.5000
3 Cu 0.0000 0.5000 0.2276
4 Cu 0.0000 0.5000 0.7724
5 Cu 0.5000 0.0000 0.2276
6 Cu 0.5000 0.0000 0.7724
7 B 0.0000 0.0000 0.5000
8 B 0.5000 0.5000 0.0000

This entry pairs a crystal structure of Fe2P3 with its computed PXRD pattern. Radiation: Cu Kα, 1.54184 Å. Structure: a GGA-PBE-relaxed structure.
Intensities are scaled so that the largest is 100.

Largest 12 diffraction maxima, by angle, 2θ = 15–90°:
d/Å, I_rel
4.034, 52
2.899, 36
2.808, 38
2.426, 58
2.305, 17
2.017, 8
1.827, 100
1.782, 12
1.638, 10
1.621, 53
1.393, 9
1.213, 23

Atomic structure:
abc: 5.8039 5.8039 5.8039
angles: 57.87 57.87 57.87
Sites, in units of the cell vectors:
1 Fe 0.1649 0.1649 0.1649
2 Fe 0.3351 0.3351 0.3351
3 Fe 0.6649 0.6649 0.6649
4 Fe 0.8351 0.8351 0.8351
5 P 0.0950 0.7500 0.4049
6 P 0.2500 0.5951 0.9049
7 P 0.4049 0.0950 0.7500
8 P 0.5950 0.9049 0.2500
9 P 0.7500 0.4049 0.0951
10 P 0.9049 0.2500 0.5950

This entry pairs a crystal structure of Dy3Er2Lu3 with its computed PXRD pattern. Radiation: Cu Kα, 1.54184 Å. Structure: a GGA-PBE-relaxed structure.
Intensities are scaled so that the largest is 100.

Largest 12 diffraction maxima, by angle, 2θ = 15–90°:
d/Å, I_rel
3.083, 24
2.766, 24
2.693, 100
2.059, 15
1.780, 20
1.582, 20
1.497, 22
1.485, 16
1.347, 4
1.183, 8
1.140, 14
1.092, 9

Atomic structure:
abc: 5.5311 7.1206 12.3324
angles: 90.00 90.00 90.00
Sites, in units of the cell vectors:
1 Dy 0.0000 0.0000 0.0000
2 Dy 0.0000 0.5000 0.5000
3 Dy 0.5000 0.2501 0.4171
4 Dy 0.5000 0.2499 0.9171
5 Dy 0.5000 0.7499 0.4171
6 Dy 0.5000 0.7501 0.9171
7 Er 0.0000 0.0000 0.4998
8 Er 0.0000 0.5000 0.9998
9 Er 0.5000 0.0000 0.1668
10 Er 0.5000 0.5000 0.6667
11 Lu 0.0000 0.2497 0.2504
12 Lu 0.0000 0.2503 0.7504
13 Lu 0.0000 0.7503 0.2504
14 Lu 0.0000 0.7497 0.7504
15 Lu 0.5000 0.0000 0.6668
16 Lu 0.5000 0.5000 0.1668